Simulated powder diffractogram
Compound: SrEu2Er
Radiation: Cu Kα (λ = 1.5418 Å)
Structure: DFT lattice parameters and positions (GGA-PBE)
Intensities are scaled so that the largest is 100.

Cell and atoms:
Unit cell a=3.8505 b=3.8505 c=38.2161 alpha=90.00 beta=90.00 gamma=120.00
Space group R-3m (No. 166, hexagonal axes)
Symmetry-distinct sites (fractional):
Sr: 0.0000 0.0000 0.0000 (multiplicity 3)
Eu: 0.0000 0.0000 0.2436 (multiplicity 6)
Er: 0.0000 0.0000 0.5000 (multiplicity 3)

The 6 most intense peaks (15 to 90 degrees two-theta), sorted by position:
| hkl | 2θ/deg | d (Å) | I_rel |
| --- | --- | --- | --- |
| 0 0 12 | 28.02 | 3.185 | 31 |
| 1 0 4 | 28.35 | 3.148 | 100 |
| 0 1 8 | 32.75 | 2.734 | 66 |
| 1 0 16 | 46.78 | 1.942 | 20 |
| 1 1 0 | 47.21 | 1.925 | 25 |
| 1 1 12 | 55.80 | 1.648 | 27 |


Simulated powder diffractogram
Compound: La3YAu7
Radiation: Cu Kα (λ = 1.5418 Å)
Structure: DFT lattice parameters and positions (GGA-PBE)
Intensities are scaled so that the largest is 100.

Cell and atoms:
Unit cell a=3.881 b=21.742 c=13.370 alpha=90.00 beta=90.00 gamma=90.00
Space group Cmcm (No. 63)
Symmetry-distinct sites (fractional):
La: 0.000 0.133 0.049 (multiplicity 8)
La: 0.000 0.210 0.750 (multiplicity 4)
Y: 0.000 0.008 0.750 (multiplicity 4)
Au: 0.000 0.275 0.067 (multiplicity 8)
Au: 0.000 0.381 0.750 (multiplicity 4)
Au: 0.000 0.397 0.143 (multiplicity 8)
Au: 0.000 0.475 0.592 (multiplicity 8)

The 6 most intense peaks (15 to 90 degrees two-theta), sorted by position:
| hkl | 2θ/deg | d (Å) | I_rel |
| --- | --- | --- | --- |
| 1 1 0 | 23.28 | 3.820 | 44 |
| 1 1 3 | 30.83 | 2.901 | 89 |
| 1 5 2 | 33.72 | 2.658 | 100 |
| 0 6 5 | 41.99 | 2.152 | 31 |
| 1 7 3 | 42.44 | 2.130 | 41 |
| 2 0 0 | 46.82 | 1.940 | 35 |